1.
# SrMgCd3
Calculated powder diffractogram, Cu Ka. Input: a structure optimized by DFT (PBE).

Crystal structure
```
SrMgCd3
1.0
4.504 0.000 0.000
0.000 4.504 0.000
0.000 0.000 13.537
Sr Mg Cd
2 2 6
direct
0.000 0.000 0.250
0.000 0.000 0.750
0.000 0.500 0.000
0.500 0.000 0.500
0.000 0.500 0.500
0.500 0.000 0.000
0.500 0.500 0.143
0.500 0.500 0.357
0.500 0.500 0.643
0.500 0.500 0.857
```

Peak list (12 most intense, 5 to 70 degrees two-theta, sorted by position)
- d 4.504, intensity 39
- d 4.273, intensity 27
- d 3.186, intensity 39
- d 2.882, intensity 100
- d 2.706, intensity 91
- d 2.319, intensity 51
- d 2.252, intensity 72
- d 2.016, intensity 33
- d 1.731, intensity 46
- d 1.593, intensity 29
- d 1.502, intensity 20
- d 1.394, intensity 22



2.
# SrTbMgCd
Calculated powder diffractogram, Cu Ka. Input: a structure optimized by DFT (PBE).

Crystal structure
```
SrTbMgCd
1.0
3.947 0.000 0.000
0.000 3.947 0.000
0.000 0.000 7.866
Sr Tb Mg Cd
1 1 1 1
direct
0.000 0.000 0.000
0.000 0.000 0.485
0.500 0.500 0.711
0.500 0.500 0.278
```

Peak list (12 most intense, 5 to 70 degrees two-theta, sorted by position)
- d 7.866, intensity 26
- d 3.941, intensity 11
- d 3.528, intensity 6
- d 2.788, intensity 100
- d 2.631, intensity 8
- d 2.184, intensity 8
- d 1.974, intensity 13
- d 1.967, intensity 5
- d 1.611, intensity 25
- d 1.608, intensity 10
- d 1.464, intensity 4
- d 1.393, intensity 6



3.
# SrMg2ZnCd5
Calculated powder diffractogram, Cu Ka. Input: a structure optimized by DFT (PBE).

Crystal structure
```
SrMg2ZnCd5
1.0
-2.526 3.258 7.391
2.526 -3.258 7.391
2.526 3.258 -7.391
Sr Mg Zn Cd
1 2 1 5
direct
0.000 0.000 0.000
0.310 0.810 0.500
0.690 0.190 0.500
0.500 0.500 0.000
0.091 0.351 0.740
0.389 0.649 0.740
0.500 0.000 0.500
0.611 0.351 0.260
0.909 0.649 0.260
```

Peak list (12 most intense, 5 to 70 degrees two-theta, sorted by position)
- d 3.528, intensity 100
- d 2.981, intensity 33
- d 2.692, intensity 68
- d 2.526, intensity 47
- d 2.464, intensity 32
- d 2.444, intensity 59
- d 2.393, intensity 32
- d 1.927, intensity 19
- d 1.764, intensity 22
- d 1.756, intensity 42
- d 1.672, intensity 25
- d 1.479, intensity 14



4.
# TbMg4Cd4
Calculated powder diffractogram, Cu Ka. Input: a structure optimized by DFT (PBE).

Crystal structure
```
TbMg4Cd4
1.0
6.573 0.000 0.000
0.000 6.573 0.000
0.000 0.000 9.969
Tb Mg Cd
2 8 8
direct
0.250 0.750 0.250
0.750 0.250 0.750
0.030 0.250 0.175
0.250 0.030 0.675
0.250 0.470 0.675
0.470 0.250 0.175
0.530 0.750 0.825
0.750 0.530 0.325
0.750 0.970 0.325
0.970 0.750 0.825
0.018 0.250 0.469
0.250 0.018 0.969
0.250 0.482 0.969
0.482 0.250 0.469
0.518 0.750 0.531
0.750 0.518 0.031
0.750 0.982 0.031
0.982 0.750 0.531
```

Peak list (12 most intense, 5 to 70 degrees two-theta, sorted by position)
- d 4.985, intensity 21
- d 3.399, intensity 29
- d 3.121, intensity 100
- d 2.966, intensity 38
- d 2.820, intensity 63
- d 2.337, intensity 63
- d 2.324, intensity 20
- d 2.106, intensity 54
- d 1.650, intensity 20
- d 1.643, intensity 23
- d 1.454, intensity 17
- d 1.345, intensity 24



5.
# TbMgCd11
Calculated powder diffractogram, Cu Ka. Input: a structure optimized by DFT (PBE).

Crystal structure
```
TbMgCd11
1.0
2.991 -7.004 0.000
2.991 7.004 0.000
-2.985 0.000 7.015
Tb Mg Cd
1 1 11
direct
0.000 0.000 0.000
0.000 0.000 0.500
0.000 0.500 0.000
0.002 0.655 0.650
0.281 0.493 0.786
0.345 0.998 0.350
0.493 0.281 0.786
0.500 0.000 0.000
0.500 0.500 0.500
0.507 0.719 0.214
0.655 0.002 0.650
0.719 0.507 0.214
0.998 0.345 0.350
```

Peak list (12 most intense, 5 to 70 degrees two-theta, sorted by position)
- d 3.562, intensity 12
- d 2.991, intensity 23
- d 2.893, intensity 48
- d 2.561, intensity 61
- d 2.498, intensity 100
- d 2.478, intensity 49
- d 2.275, intensity 51
- d 2.231, intensity 20
- d 2.217, intensity 23
- d 1.614, intensity 25
- d 1.446, intensity 25
- d 1.435, intensity 18



6.
# Tb3Mg4Cd4
Calculated powder diffractogram, Cu Ka. Input: a structure optimized by DFT (PBE).

Crystal structure
```
Tb3Mg4Cd4
1.0
3.438 0.000 0.000
-0.002 5.018 0.000
-1.703 -2.492 15.661
Tb Mg Cd
3 4 4
direct
0.000 0.000 0.000
0.143 0.640 0.281
0.857 0.360 0.719
0.264 0.264 0.528
0.402 0.908 0.816
0.598 0.092 0.184
0.736 0.736 0.472
0.315 0.817 0.632
0.452 0.453 0.906
0.548 0.547 0.094
0.685 0.183 0.368
```

Peak list (12 most intense, 5 to 70 degrees two-theta, sorted by position)
- d 15.661, intensity 32
- d 5.220, intensity 44
- d 3.916, intensity 41
- d 2.791, intensity 66
- d 2.726, intensity 61
- d 2.667, intensity 98
- d 2.509, intensity 54
- d 2.477, intensity 100
- d 1.846, intensity 39
- d 1.483, intensity 20
- d 1.442, intensity 18
- d 1.412, intensity 33